The following is a simulated powder X-ray diffraction pattern of TcO2F. It was derived from a PBE-relaxed structure, using Cu Kα (λ = 1.5418 Å).
Neutral-atom scattering factors, no anomalous dispersion.

Atomic structure:
```
TcO2F
1.0
9.301 0.000 0.000
0.000 5.536 0.000
-3.281 0.000 4.444
Tc O F
4 8 4
Cartesian
0.000 1.211 0.000
-1.640 4.325 2.222
3.010 1.557 2.222
4.651 3.979 0.000
-0.831 0.030 1.134
-2.471 5.505 3.356
1.507 1.393 1.106
-0.133 4.143 3.328
2.180 2.737 3.356
3.820 2.798 1.134
4.518 1.375 3.328
6.158 4.161 1.106
3.855 0.043 1.062
2.215 5.493 3.284
6.865 2.725 3.284
8.506 2.811 1.062
```

Top 10 peaks for 10° ≤ 2θ ≤ 90°, in order of falling intensity:
| 2θ (°) | d_spacing | I/Imax |
| --- | --- | --- |
| 22.74 | 3.910 | 100 |
| 23.78 | 3.742 | 48 |
| 33.14 | 2.703 | 37 |
| 46.45 | 1.955 | 21 |
| 32.38 | 2.765 | 17 |
| 52.83 | 1.733 | 17 |
| 54.36 | 1.688 | 17 |
| 58.25 | 1.584 | 13 |
| 69.55 | 1.352 | 11 |
| 74.24 | 1.277 | 11 |



The following is a simulated powder X-ray diffraction pattern of TcOF4. It was derived from a PBE-relaxed structure, using Cu Kα (λ = 1.5418 Å).
Neutral-atom scattering factors, no anomalous dispersion.

Atomic structure:
```
TcOF4
1.0
9.273 0.000 0.000
-4.637 8.031 0.000
0.000 0.000 8.377
Tc O F
6 6 24
Cartesian
-1.246 3.167 2.094
-1.271 7.527 2.094
2.120 2.663 6.283
2.517 5.368 2.094
5.907 0.504 6.283
5.883 4.864 6.283
-1.866 5.507 6.283
0.800 3.662 6.283
3.571 1.138 2.094
1.066 6.893 6.283
3.837 4.369 2.094
6.502 2.524 2.094
-0.117 1.690 2.094
-3.115 7.288 2.094
-0.836 3.372 0.275
-0.836 3.372 3.914
-1.578 5.059 2.094
1.405 0.946 6.283
-1.298 7.069 0.275
-1.298 7.069 3.914
1.045 4.135 2.094
2.502 2.410 4.463
2.502 2.410 8.102
0.533 6.868 2.094
4.103 1.163 6.283
2.135 5.621 0.275
2.135 5.621 3.914
3.592 3.896 6.283
5.935 0.962 4.463
5.935 0.962 8.102
3.232 7.084 2.094
6.215 2.972 6.283
5.473 4.659 4.463
5.473 4.659 8.102
7.751 0.743 6.283
4.754 6.341 6.283
```

Top 10 peaks for 10° ≤ 2θ ≤ 90°, in order of falling intensity:
| 2θ (°) | d_spacing | I/Imax |
| --- | --- | --- |
| 21.91 | 4.057 | 100 |
| 21.21 | 4.188 | 38 |
| 15.28 | 5.797 | 28 |
| 29.43 | 3.035 | 24 |
| 19.14 | 4.637 | 24 |
| 37.60 | 2.392 | 15 |
| 24.59 | 3.621 | 13 |
| 46.51 | 1.952 | 13 |
| 43.20 | 2.094 | 12 |
| 31.34 | 2.854 | 11 |



The following is a simulated powder X-ray diffraction pattern of TcOF2. It was derived from a PBE-relaxed structure, using Cu Kα (λ = 1.5418 Å).
Neutral-atom scattering factors, no anomalous dispersion.

Atomic structure:
```
TcOF2
1.0
5.425 0.000 0.000
0.000 5.078 0.000
0.000 0.000 8.661
Tc O F
4 4 8
Cartesian
1.356 0.000 0.931
1.356 2.539 3.400
4.068 0.000 7.731
4.068 2.539 5.261
0.852 1.269 2.165
1.860 3.808 2.165
3.564 1.269 6.496
4.573 3.808 6.496
0.400 1.014 7.996
0.400 1.525 4.997
2.312 3.553 4.997
2.312 4.064 7.996
3.112 1.014 0.666
3.112 1.525 3.665
5.024 3.553 3.665
5.024 4.064 0.666
```

Top 10 peaks for 10° ≤ 2θ ≤ 90°, in order of falling intensity:
| 2θ (°) | d_spacing | I/Imax |
| --- | --- | --- |
| 20.27 | 4.381 | 100 |
| 31.77 | 2.816 | 69 |
| 19.31 | 4.597 | 67 |
| 50.76 | 1.799 | 27 |
| 39.06 | 2.306 | 23 |
| 58.20 | 1.585 | 15 |
| 49.15 | 1.854 | 14 |
| 61.23 | 1.514 | 13 |
| 40.59 | 2.223 | 12 |
| 33.03 | 2.712 | 12 |



The following is a simulated powder X-ray diffraction pattern of TeOF2. It was derived from a PBE-relaxed structure, using Cu Kα (λ = 1.5418 Å).
Neutral-atom scattering factors, no anomalous dispersion.

Atomic structure:
```
TeOF2
1.0
6.870 0.000 0.000
0.000 4.933 0.000
0.000 0.000 8.768
Te O F
4 4 8
Cartesian
1.717 0.000 0.867
1.717 2.466 3.517
5.152 0.000 7.900
5.152 2.466 5.251
0.978 1.233 2.192
2.457 3.699 2.192
4.413 1.233 6.576
5.892 3.699 6.576
0.038 1.054 7.895
0.038 1.412 5.256
3.397 3.521 5.256
3.397 3.878 7.895
3.473 1.054 0.873
3.473 1.412 3.511
6.832 3.521 3.511
6.832 3.878 0.873
```

Top 10 peaks for 10° ≤ 2θ ≤ 90°, in order of falling intensity:
| 2θ (°) | d_spacing | I/Imax |
| --- | --- | --- |
| 16.39 | 5.408 | 100 |
| 20.66 | 4.299 | 93 |
| 30.22 | 2.958 | 84 |
| 33.36 | 2.686 | 66 |
| 50.19 | 1.818 | 25 |
| 45.26 | 2.003 | 24 |
| 48.50 | 1.877 | 23 |
| 25.94 | 3.435 | 17 |
| 63.65 | 1.462 | 13 |
| 50.64 | 1.803 | 12 |



The following is a simulated powder X-ray diffraction pattern of TeOF. It was derived from a PBE-relaxed structure, using Cu Kα (λ = 1.5418 Å).
Neutral-atom scattering factors, no anomalous dispersion.

Atomic structure:
```
TeOF
1.0
6.791 0.000 0.000
0.000 5.236 0.000
-1.381 0.000 6.729
Te O F
4 4 4
Cartesian
0.870 0.323 2.524
0.179 2.296 5.888
5.231 2.941 0.840
4.540 4.914 4.205
-0.768 0.836 4.410
-0.077 1.782 1.046
5.487 3.455 5.683
6.178 4.400 2.319
2.454 3.654 0.358
1.763 4.201 3.722
3.646 1.036 3.007
2.956 1.582 6.371
```

Top 10 peaks for 10° ≤ 2θ ≤ 90°, in order of falling intensity:
| 2θ (°) | d_spacing | I/Imax |
| --- | --- | --- |
| 21.51 | 4.131 | 100 |
| 26.78 | 3.329 | 82 |
| 27.19 | 3.280 | 45 |
| 32.40 | 2.763 | 42 |
| 13.31 | 6.653 | 23 |
| 43.96 | 2.060 | 21 |
| 23.91 | 3.722 | 21 |
| 43.49 | 2.081 | 18 |
| 32.14 | 2.785 | 17 |
| 47.66 | 1.908 | 16 |



The following is a simulated powder X-ray diffraction pattern of Te2O3F3. It was derived from a PBE-relaxed structure, using Cu Kα (λ = 1.5418 Å).
Neutral-atom scattering factors, no anomalous dispersion.

Atomic structure:
```
Te2O3F3
1.0
5.533 3.194 5.411
-5.533 3.194 5.411
0.000 -6.388 5.411
Te O F
8 12 12
Cartesian
0.000 0.000 3.308
-2.723 -1.588 9.238
-2.737 1.564 6.996
0.014 -3.152 6.996
-0.014 3.152 9.238
2.737 -1.564 9.238
2.723 1.588 6.996
0.000 0.000 12.925
-4.542 -1.901 8.541
-0.625 -4.884 7.692
-1.705 -2.167 7.767
-3.917 2.983 7.692
-2.730 0.393 8.466
1.024 -2.560 8.466
-1.024 2.560 7.767
2.730 -0.393 7.767
3.917 -2.983 8.541
1.705 2.167 8.466
0.625 4.884 8.541
4.542 1.901 7.692
-4.323 0.627 6.210
-1.477 0.204 4.500
-2.704 -3.430 10.024
0.561 -1.381 4.500
1.619 -4.057 6.210
0.915 1.176 4.500
-0.915 -1.176 11.733
-1.619 4.057 10.024
-0.561 1.381 11.733
2.704 3.430 6.210
1.477 -0.204 11.733
4.323 -0.627 10.024
```

Top 10 peaks for 10° ≤ 2θ ≤ 90°, in order of falling intensity:
| 2θ (°) | d_spacing | I/Imax |
| --- | --- | --- |
| 21.54 | 4.126 | 100 |
| 32.36 | 2.766 | 24 |
| 28.83 | 3.097 | 22 |
| 51.71 | 1.768 | 20 |
| 43.88 | 2.063 | 14 |
| 16.38 | 5.411 | 12 |
| 55.56 | 1.654 | 11 |
| 33.34 | 2.688 | 11 |
| 39.21 | 2.298 | 9 |
| 46.98 | 1.934 | 9 |



The following is a simulated powder X-ray diffraction pattern of Ti2Te2O5F5. It was derived from a PBE-relaxed structure, using Cu Kα (λ = 1.5418 Å).
Neutral-atom scattering factors, no anomalous dispersion.

Atomic structure:
```
Ti2Te2O5F5
1.0
7.665 0.000 0.000
0.000 16.714 0.000
0.000 0.000 6.701
Ti Te O F
8 8 20 20
Cartesian
0.939 2.182 1.659
0.939 6.175 1.659
2.893 10.539 5.010
2.893 14.532 5.010
4.772 2.182 1.691
4.772 6.175 1.691
6.726 10.539 5.041
6.726 14.532 5.041
0.994 10.625 1.466
0.994 14.446 1.466
2.839 2.268 4.816
2.839 6.089 4.816
4.826 10.625 1.884
4.826 14.446 1.884
6.671 2.268 5.235
6.671 6.089 5.235
0.468 2.304 6.456
0.468 6.053 6.456
1.049 12.535 1.828
1.402 2.214 3.564
1.402 6.142 3.564
2.430 10.571 0.214
2.430 14.499 0.214
2.784 4.178 5.178
3.364 10.661 3.105
3.364 14.409 3.105
4.301 2.304 3.595
4.301 6.053 3.595
4.881 12.535 1.523
5.234 2.214 6.487
5.234 6.142 6.487
6.263 10.571 3.137
6.263 14.499 3.137
6.616 4.178 4.873
7.197 10.661 0.245
7.197 14.409 0.245
0.927 0.308 1.563
0.927 8.049 1.563
0.950 4.178 1.696
0.973 10.582 4.526
0.973 14.488 4.526
2.859 2.225 1.176
2.859 6.132 1.176
2.882 12.535 5.047
2.906 8.665 4.913
2.906 16.405 4.913
4.759 0.308 1.788
4.759 8.049 1.788
4.782 4.178 1.654
4.806 10.582 5.525
4.806 14.488 5.525
6.692 2.225 2.174
6.692 6.132 2.174
6.715 12.535 5.005
6.738 8.665 5.138
6.738 16.405 5.138
```

Top 10 peaks for 10° ≤ 2θ ≤ 90°, in order of falling intensity:
| 2θ (°) | d_spacing | I/Imax |
| --- | --- | --- |
| 26.80 | 3.327 | 100 |
| 21.26 | 4.178 | 89 |
| 26.61 | 3.350 | 49 |
| 34.46 | 2.603 | 33 |
| 14.24 | 6.220 | 24 |
| 47.09 | 1.930 | 23 |
| 51.66 | 1.769 | 23 |
| 43.31 | 2.089 | 20 |
| 34.31 | 2.614 | 16 |
| 45.02 | 2.014 | 16 |



The following is a simulated powder X-ray diffraction pattern of TlTeO4F. It was derived from a PBE-relaxed structure, using Cu Kα (λ = 1.5418 Å).
Neutral-atom scattering factors, no anomalous dispersion.

Atomic structure:
```
TlTeO4F
1.0
4.599 -3.620 0.000
4.599 3.620 0.000
-2.584 0.000 7.126
Tl Te O F
2 2 8 2
Cartesian
1.326 0.000 1.201
5.289 0.000 5.925
1.424 0.000 5.102
5.191 0.000 2.023
0.809 1.403 6.145
0.651 0.000 3.428
3.348 0.000 2.166
5.805 1.403 0.981
0.809 -1.403 6.145
3.267 0.000 4.960
5.963 0.000 3.698
5.805 -1.403 0.981
-1.659 0.000 6.129
8.274 0.000 0.996
```

Top 10 peaks for 10° ≤ 2θ ≤ 90°, in order of falling intensity:
| 2θ (°) | d_spacing | I/Imax |
| --- | --- | --- |
| 24.59 | 3.620 | 100 |
| 26.61 | 3.350 | 65 |
| 27.54 | 3.239 | 53 |
| 17.98 | 4.934 | 47 |
| 20.06 | 4.426 | 42 |
| 20.54 | 4.324 | 41 |
| 24.99 | 3.563 | 38 |
| 31.75 | 2.818 | 38 |
| 37.25 | 2.414 | 31 |
| 35.35 | 2.539 | 29 |